# Ca2SmTmS4
Calculated powder diffraction line list, a wavelength of 1.5418 Å. Input: a cell relaxed with GGA-PBE.
Kinematic intensities with the Lorentz-polarization factor, no thermal factor.

Crystal structure
```
8
Lattice="6.8472 0.0000 0.0000 0.0000 3.9482 0.0000 -2.2756 0.0000 6.5625" Properties=species:S:1:pos:R:3 pbc="T T T"
Ca 0.0000 0.0000 0.0000
Ca 3.4236 1.9741 0.0000
Sm -1.1378 1.9741 3.2812
Tm 2.2858 0.0000 3.2812
S 0.0589 0.0000 4.9129
S 1.1920 1.9741 1.6860
S 3.3797 1.9741 4.8765
S 4.5127 0.0000 1.6496
```

Main lines, sorted by position (10 to 80 degrees two-theta):
two_theta, Rel. int., index
13.5, 47.0, 0 0 1
26.4, 19.7, 1 1 0
27.6, 35.6, 2 0 0
31.9, 100.0, 1 1 1
34.7, 14.2, 2 0 1
45.4, 35.9, 1 1 -3
45.9, 34.6, 0 2 0
57.0, 17.8, 2 2 -2
75.3, 15.4, 0 2 4
76.1, 14.9, 1 3 1